# Sr2SbO5
Calculated XRD peak list, copper Kα. Input: a DFT-relaxed cell (GGA-PBE, Alexandria).
Neutral-atom scattering factors, no anomalous dispersion.

Principal peaks in the range 2θ = 5–70°, in order of rising 2θ:
two_theta	Rel. int.	index
21.8	95	1 0 0
22.1	100	1 -1 0
29.3	87	0 1 -2
29.6	47	1 1 -1
30.7	68	0 1 1
30.9	70	0 2 -1
31.4	60	1 0 1
32.0	54	1 -2 1

Crystal structure
abc: 4.4581 6.0848 6.1214
angles: 117.75 95.42 107.66
Space group P1 (No. 1)
Asymmetric unit:
Sr: 0.0000 0.0000 0.0000 (multiplicity 1)
Sr: 0.3817 0.7425 0.3699 (multiplicity 1)
Sb: 0.1479 0.3717 0.6933 (multiplicity 1)
O: 0.0434 0.9854 0.5648 (multiplicity 1)
O: 0.3995 0.3654 0.4337 (multiplicity 1)
O: 0.4260 0.7566 0.9434 (multiplicity 1)
O: 0.8729 0.3697 0.4252 (multiplicity 1)
O: 0.9313 0.3788 0.9583 (multiplicity 1)



# Sr4Sb6O19
Calculated XRD peak list, copper Kα. Input: a DFT-relaxed cell (GGA-PBE, Alexandria).
Neutral-atom scattering factors, no anomalous dispersion.

Principal peaks in the range 2θ = 5–70°, in order of rising 2θ:
two_theta	Rel. int.	index
13.2	27	1 1 0
18.7	32	2 0 0
22.9	36	2 1 1
29.8	100	3 1 0
35.4	64	3 2 1
46.9	16	4 2 2
48.9	52	4 1 3
58.3	31	6 0 0

Crystal structure
abc: 9.4949 9.4949 9.4949
angles: 90.00 90.00 90.00
Space group I23 (No. 197)
Asymmetric unit:
Sr: 0.1463 0.1463 0.8537 (multiplicity 8)
Sb: 0.0000 0.3382 0.5000 (multiplicity 12)
O: 0.0000 0.0000 0.0000 (multiplicity 2)
O: 0.0000 0.0000 0.3595 (multiplicity 12)
O: 0.0086 0.3331 0.2876 (multiplicity 24)